For Rb2PtC4N4Cl2, a PBE-relaxed structure gives the calculated PXRD pattern in this record (Cu Ka).
Peak positions follow from Bragg's law for the DFT cell and can differ from measured ones.

Atomic structure:
Unit cell a=6.791 b=9.334 c=9.687 alpha=89.36 beta=76.06 gamma=72.89
Element x y z (fractional)
Rb 0.126 0.177 0.070
Rb 0.290 0.342 0.548
Rb 0.710 0.658 0.452
Rb 0.874 0.823 0.930
Pt 0.000 0.000 0.500
Pt 0.500 0.500 0.000
C 0.067 0.076 0.672
C 0.152 0.790 0.540
C 0.285 0.499 0.184
C 0.394 0.725 0.994
C 0.606 0.275 0.006
C 0.715 0.501 0.816
C 0.848 0.210 0.460
C 0.933 0.924 0.328
N 0.109 0.120 0.770
N 0.161 0.490 0.288
N 0.244 0.669 0.564
N 0.341 0.855 0.985
N 0.659 0.145 0.015
N 0.756 0.331 0.436
N 0.839 0.510 0.712
N 0.891 0.880 0.230
Cl 0.255 0.471 0.875
Cl 0.326 0.021 0.355
Cl 0.674 0.979 0.645
Cl 0.745 0.529 0.125

Principal peaks in the range 2θ from 5° to 70°, by intensity:
2θ 18.9, d = 4.694 Å, I 100, hkl 0 0 2
2θ 19.6, d = 4.534 Å, I 80, hkl 1 -1 0
2θ 21.8, d = 4.072 Å, I 54, hkl 1 2 1
2θ 31.0, d = 2.883 Å, I 49, hkl 0 3 -1
2θ 14.1, d = 6.262 Å, I 42, hkl 0 1 1
2θ 30.9, d = 2.897 Å, I 39, hkl 2 1 -1
2θ 24.2, d = 3.672 Å, I 39, hkl 1 -1 2
2θ 13.3, d = 6.676 Å, I 39, hkl 0 1 -1